Starting from the PBE geometry in Alexandria, the powder XRD pattern of TaV4Fe5 was computed for Cu Ka.

Main lines, in order of rising 2θ (2θ from 10° to 90°):
d/Å	Rel. int.
7.607	131
2.793	115
2.662	127
2.479	128
2.276	141
2.077	1000
2.009	516
1.421	156
1.213	106
1.173	280

Structural model:
abc: 2.842 2.842 15.214
angles: 90.00 90.00 90.00
Positions (direct):
Ta: 0.000 0.000 0.000
V: 0.000 0.000 0.210
V: 0.000 0.000 0.404
V: 0.000 0.000 0.596
V: 0.000 0.000 0.790
Fe: 0.500 0.500 0.125
Fe: 0.500 0.500 0.308
Fe: 0.500 0.500 0.500
Fe: 0.500 0.500 0.692
Fe: 0.500 0.500 0.875